Structure and simulated X-ray diffraction stick pattern of H6PbCBr3N (a DFT-relaxed cell (GGA-PBE, Alexandria); Cu Kα).
Kinematic intensities with the Lorentz-polarization factor, no thermal factor.

Main lines, low angle first (10 to 80 degrees two-theta):
| (hkl) | d [Å] | 2theta | Rel. int. |
| --- | --- | --- | --- |
| 1 1 0 | 6.107 | 14.50 | 51.8 |
| 0 0 2 | 6.014 | 14.73 | 100.0 |
| 2 2 0 | 3.053 | 29.25 | 35.2 |
| 2 -2 0 | 3.006 | 29.72 | 58.3 |
| 2 -2 2 | 2.714 | 33.01 | 21.2 |
| -2 2 2 | 2.665 | 33.62 | 19.6 |

Structure:
```
48
Lattice="8.512 0.000 0.000 0.146 8.621 0.000 0.397 0.014 12.044" Properties=species:S:1:pos:R:3 pbc="T T T"
H 0.000 0.000 0.000
H 0.238 1.174 5.869
H 0.606 1.460 8.266
H 0.798 1.620 11.854
H 1.451 8.487 5.829
H 1.411 8.484 2.089
H 1.747 0.072 8.210
H 1.983 0.429 11.782
H 1.734 1.581 1.873
H 2.135 1.594 7.340
H 4.078 4.027 0.545
H 4.439 6.164 6.650
H 4.625 4.678 5.917
H 4.865 5.496 11.887
H 4.636 5.661 2.258
H 5.002 4.424 8.294
H 5.968 4.221 11.860
H 5.830 5.856 5.793
H 5.809 4.298 2.239
H 6.254 5.714 8.205
H 6.237 5.866 1.474
H 6.518 4.146 7.374
H 8.519 8.394 6.681
H 8.531 1.156 2.172
Pb 1.087 5.003 4.307
Pb 1.323 5.073 10.328
Pb 5.228 0.789 4.293
Pb 5.504 0.702 10.324
C 0.952 0.836 1.699
C 1.333 0.919 7.653
C 5.428 5.164 1.688
C 5.772 4.890 7.671
Br 1.320 5.565 7.442
Br 1.413 4.692 1.402
Br 3.065 7.419 4.411
Br 3.330 2.790 10.180
Br 3.541 7.216 10.721
Br 3.322 3.013 4.902
Br 5.105 1.212 1.407
Br 5.728 0.214 7.433
Br 7.313 6.990 4.257
Br 7.679 7.122 10.929
Br 7.637 2.987 10.496
Br 7.546 2.804 4.666
N 0.646 0.398 6.437
N 0.726 0.716 0.231
N 4.855 4.690 0.395
N 5.130 5.430 6.438
```